No. 1
Diffraction record for K4La5. The X-ray powder pattern is simulated, not measured: it uses the GGA-PBE geometry in Alexandria and a wavelength of 1.5418 Å.

Peak list (12 most intense, 10 to 90 degrees two-theta, in order of rising 2θ)
- d 4.512, I 21.9, hkl 1 1 1
- d 3.725, I 16.2, hkl 2 1 0
- d 3.328, I 52.6, hkl 2 1 1
- d 3.285, I 57.7, hkl 3 0 0
- d 3.103, I 100.0, hkl 1 1 2
- d 2.960, I 33.5, hkl 2 0 2
- d 2.845, I 15.5, hkl 2 2 0
- d 2.733, I 13.9, hkl 3 1 0
- d 2.564, I 48.8, hkl 3 1 1
- d 1.860, I 23.5, hkl 4 1 2
- d 1.832, I 17.8, hkl 3 1 3
- d 1.578, I 16.0, hkl 5 2 0

Structure:
Unit cell a=11.3804 b=11.3804 c=7.4049 alpha=90.00 beta=90.00 gamma=120.00
Space group P6_3/mcm (No. 193)
Asymmetric unit:
1 K 0.0000 0.0000 0.0000 [2 per cell]
2 K 0.0000 0.2765 0.2500 [6 per cell]
3 La 0.0000 0.4164 0.7500 [6 per cell]
4 La 0.3333 0.6667 0.0000 [4 per cell]


No. 2
Diffraction record for K3LaMg. The X-ray powder pattern is simulated, not measured: it uses the GGA-PBE geometry in Alexandria and a wavelength of 1.5418 Å.

Peak list (12 most intense, 10 to 90 degrees two-theta, in order of rising 2θ)
- d 7.228, I 100.0, hkl 1 0 0
- d 5.111, I 57.4, hkl 1 1 0
- d 3.614, I 71.9, hkl 2 0 0
- d 3.232, I 59.8, hkl 2 1 0
- d 2.951, I 29.8, hkl 2 1 1
- d 2.555, I 55.1, hkl 2 2 0
- d 2.409, I 32.9, hkl 3 0 0
- d 2.086, I 19.7, hkl 2 2 2
- d 1.932, I 18.3, hkl 3 2 1
- d 1.753, I 19.5, hkl 4 1 0
- d 1.616, I 25.1, hkl 4 2 0
- d 1.475, I 18.2, hkl 4 2 2

Structure:
Unit cell a=7.2277 b=7.2277 c=7.2277 alpha=90.00 beta=90.00 gamma=90.00
Space group Pm-3m (No. 221)
Asymmetric unit:
1 K 0.0000 0.0000 0.5000 [3 per cell]
2 La 0.0000 0.0000 0.0000 [1 per cell]
3 Mg 0.5000 0.5000 0.5000 [1 per cell]


No. 3
Diffraction record for KLaMg14. The X-ray powder pattern is simulated, not measured: it uses the GGA-PBE geometry in Alexandria and a wavelength of 1.5418 Å.

Peak list (12 most intense, 10 to 90 degrees two-theta, in order of rising 2θ)
- d 5.859, I 24.3, hkl 1 0 0
- d 5.121, I 22.8, hkl 1 0 1
- d 3.918, I 25.5, hkl 1 0 2
- d 2.929, I 28.0, hkl 2 0 0
- d 2.847, I 9.5, hkl 1 1 2
- d 2.635, I 23.8, hkl 0 0 4
- d 2.560, I 100.0, hkl 2 0 2
- d 1.959, I 16.9, hkl 2 0 4
- d 1.691, I 17.6, hkl 2 2 0
- d 1.506, I 18.2, hkl 2 0 6
- d 1.423, I 19.2, hkl 2 2 4
- d 1.411, I 14.2, hkl 4 0 2

Structure:
Unit cell a=6.7653 b=6.7653 c=10.5384 alpha=90.00 beta=90.00 gamma=120.00
Space group P-6m2 (No. 187)
Asymmetric unit:
1 K 0.0000 0.0000 0.0000 [1 per cell]
2 La 0.0000 0.0000 0.5000 [1 per cell]
3 Mg 0.0059 0.5030 0.0000 [3 per cell]
4 Mg 0.0103 0.5051 0.5000 [3 per cell]
5 Mg 0.1747 0.3494 0.2538 [6 per cell]
6 Mg 0.6667 0.3333 0.2556 [2 per cell]